Structure and simulated XRD peak list of Li3Fe4P6O24 (a structure optimized by DFT (PBE+U); Cu Kα (λ = 1.5418 Å)).
Lines closer than 0.1° are merged.

Peak list (10 most intense, 10° ≤ 2θ ≤ 90°, low angle first)
| 2theta | d_spacing | intensity |
| --- | --- | --- |
| 14.08 | 6.291 | 37 |
| 15.83 | 5.600 | 15 |
| 16.24 | 5.459 | 100 |
| 28.37 | 3.146 | 20 |
| 28.78 | 3.102 | 21 |
| 29.11 | 3.067 | 29 |
| 32.42 | 2.762 | 27 |
| 32.80 | 2.730 | 12 |
| 33.31 | 2.690 | 15 |
| 43.09 | 2.099 | 12 |

Atomic structure:
a b c (Å): 6.430 8.499 8.842
angles (deg): 93.12 106.90 105.12
Sites, in units of the cell vectors:
Li1 0.000 0.000 0.000
Li2 0.241 0.767 0.213
Li3 0.759 0.233 0.787
Fe1 0.128 0.860 0.561
Fe2 0.371 0.441 0.126
Fe3 0.629 0.559 0.874
Fe4 0.872 0.140 0.439
P1 0.118 0.629 0.844
P2 0.249 0.207 0.785
P3 0.357 0.149 0.357
P4 0.643 0.851 0.643
P5 0.751 0.793 0.215
P6 0.882 0.371 0.156
O1 0.032 0.235 0.670
O2 0.103 0.503 0.163
O3 0.110 0.673 0.676
O4 0.144 0.778 0.962
O5 0.182 0.107 0.453
O6 0.236 0.232 0.958
O7 0.256 0.027 0.753
O8 0.264 0.011 0.214
O9 0.321 0.554 0.909
O10 0.376 0.320 0.303
O11 0.410 0.846 0.526
O12 0.469 0.324 0.769
O13 0.531 0.676 0.231
O14 0.590 0.154 0.474
O15 0.624 0.680 0.697
O16 0.679 0.446 0.091
O17 0.736 0.989 0.786
O18 0.744 0.973 0.247
O19 0.764 0.768 0.042
O20 0.818 0.893 0.547
O21 0.856 0.222 0.038
O22 0.890 0.327 0.324
O23 0.897 0.497 0.837
O24 0.968 0.765 0.330